This entry pairs a crystal structure of Ac3SiI3 with its computed powder diffractogram. Radiation: copper Kα. Structure: a structure optimized by DFT (PBE).
Neutral-atom scattering factors, no anomalous dispersion.

Peak list (6 most intense, 2θ = 15–90°, most intense first)
| Position (°2θ) | Rel. int. | hkl |
| --- | --- | --- |
| 26.82 | 100 | 2 1 0 |
| 26.93 | 47 | 0 0 4 |
| 38.59 | 34 | 2 1 4 |
| 38.15 | 34 | 2 1 -4 |
| 39.16 | 20 | 0 2 0 |
| 48.17 | 20 | 0 2 4 |

Structural model:
```
data_Ac3SiI3
_cell_length_a 9.6195
_cell_length_b 4.6005
_cell_length_c 13.2449
_cell_angle_alpha 90.00
_cell_angle_beta 90.93
_cell_angle_gamma 90.00
_space_group_name_H-M_alt 'P 1'
_space_group_IT_number 1
_space_group_name_Hall 'P 1'
loop_
_atom_site_label
_atom_site_type_symbol
_atom_site_fract_x
_atom_site_fract_y
_atom_site_fract_z
Ac1 Ac 0.0979 0.2500 0.3855
Ac2 Ac 0.1222 0.2500 0.8467
Ac3 Ac 0.3311 0.7500 0.6217
Ac4 Ac 0.6689 0.2500 0.3783
Ac5 Ac 0.8778 0.7500 0.1533
Ac6 Ac 0.9021 0.7500 0.6145
Si1 Si 0.1226 0.2500 0.6210
Si2 Si 0.8774 0.7500 0.3790
I1 I 0.1349 0.2500 0.1181
I2 I 0.3757 0.7500 0.8771
I3 I 0.3816 0.7500 0.3645
I4 I 0.6184 0.2500 0.6355
I5 I 0.6243 0.2500 0.1229
I6 I 0.8651 0.7500 0.8819
```

This entry pairs a crystal structure of Ac3SiI with its computed powder diffractogram. Radiation: copper Kα. Structure: a structure optimized by DFT (PBE).
Neutral-atom scattering factors, no anomalous dispersion.

Peak list (6 most intense, 2θ = 15–90°, most intense first)
| Position (°2θ) | Rel. int. | hkl |
| --- | --- | --- |
| 28.67 | 100 | 1 2 1 |
| 28.57 | 89 | 0 3 1 |
| 29.92 | 50 | 1 1 2 |
| 33.75 | 29 | 0 3 2 |
| 20.43 | 25 | 0 2 1 |
| 40.43 | 23 | 2 0 0 |

Structural model:
```
data_Ac3SiI
_cell_length_a 4.4625
_cell_length_b 10.0100
_cell_length_c 8.7782
_cell_angle_alpha 90.00
_cell_angle_beta 90.00
_cell_angle_gamma 90.00
_space_group_name_H-M_alt 'P 1'
_space_group_IT_number 1
_space_group_name_Hall 'P 1'
loop_
_atom_site_label
_atom_site_type_symbol
_atom_site_fract_x
_atom_site_fract_y
_atom_site_fract_z
Ac1 Ac 0.2500 0.0610 0.1630
Ac2 Ac 0.2500 0.2500 0.7454
Ac3 Ac 0.2500 0.4390 0.1630
Ac4 Ac 0.7500 0.5610 0.8370
Ac5 Ac 0.7500 0.7500 0.2546
Ac6 Ac 0.7500 0.9390 0.8370
Si1 Si 0.2500 0.7500 0.0134
Si2 Si 0.7500 0.2500 0.9866
I1 I 0.2500 0.7500 0.5698
I2 I 0.7500 0.2500 0.4302
```

This entry pairs a crystal structure of AcSmI4 with its computed powder diffractogram. Radiation: copper Kα. Structure: a structure optimized by DFT (PBE).
Neutral-atom scattering factors, no anomalous dispersion.

Peak list (6 most intense, 2θ = 15–90°, most intense first)
| Position (°2θ) | Rel. int. | hkl |
| --- | --- | --- |
| 26.15 | 100 | 1 1 -1 |
| 32.19 | 50 | 2 0 2 |
| 26.03 | 50 | 2 0 1 |
| 32.31 | 41 | 1 1 2 |
| 41.66 | 32 | 3 1 0 |
| 40.64 | 30 | 1 1 3 |

Structural model:
```
data_AcSmI4
_cell_length_a 7.5350
_cell_length_b 4.2937
_cell_length_c 8.3075
_cell_angle_alpha 90.00
_cell_angle_beta 90.38
_cell_angle_gamma 90.00
_space_group_name_H-M_alt 'P 1'
_space_group_IT_number 1
_space_group_name_Hall 'P 1'
loop_
_atom_site_label
_atom_site_type_symbol
_atom_site_fract_x
_atom_site_fract_y
_atom_site_fract_z
Ac1 Ac 0.0000 0.0000 0.0000
Sm1 Sm 0.5000 0.5000 0.0000
I1 I 0.1830 0.5000 0.7422
I2 I 0.3482 0.0000 0.2446
I3 I 0.6518 0.0000 0.7554
I4 I 0.8170 0.5000 0.2578
```

Please write out number 2 again, unchanged.
This entry pairs a crystal structure of Ac3SiI with its computed powder diffractogram. Radiation: copper Kα. Structure: a structure optimized by DFT (PBE).
Neutral-atom scattering factors, no anomalous dispersion.

Peak list (6 most intense, 2θ = 15–90°, most intense first)
| Position (°2θ) | Rel. int. | hkl |
| --- | --- | --- |
| 28.67 | 100 | 1 2 1 |
| 28.57 | 89 | 0 3 1 |
| 29.92 | 50 | 1 1 2 |
| 33.75 | 29 | 0 3 2 |
| 20.43 | 25 | 0 2 1 |
| 40.43 | 23 | 2 0 0 |

Structural model:
```
data_Ac3SiI
_cell_length_a 4.4625
_cell_length_b 10.0100
_cell_length_c 8.7782
_cell_angle_alpha 90.00
_cell_angle_beta 90.00
_cell_angle_gamma 90.00
_space_group_name_H-M_alt 'P 1'
_space_group_IT_number 1
_space_group_name_Hall 'P 1'
loop_
_atom_site_label
_atom_site_type_symbol
_atom_site_fract_x
_atom_site_fract_y
_atom_site_fract_z
Ac1 Ac 0.2500 0.0610 0.1630
Ac2 Ac 0.2500 0.2500 0.7454
Ac3 Ac 0.2500 0.4390 0.1630
Ac4 Ac 0.7500 0.5610 0.8370
Ac5 Ac 0.7500 0.7500 0.2546
Ac6 Ac 0.7500 0.9390 0.8370
Si1 Si 0.2500 0.7500 0.0134
Si2 Si 0.7500 0.2500 0.9866
I1 I 0.2500 0.7500 0.5698
I2 I 0.7500 0.2500 0.4302
```